(1)
For Sc8HC4S, the PBE geometry in Alexandria gives the calculated X-ray diffraction stick pattern in this record (copper Kα).
Intensities are scaled so that the largest is 100.

Principal peaks in the range 2θ = 10–90°, by angle:
- 16.33 deg, I = 10
- 31.42 deg, I = 100
- 33.01 deg, I = 36
- 36.92 deg, I = 76
- 39.63 deg, I = 8
- 52.14 deg, I = 35
- 54.25 deg, I = 29
- 62.15 deg, I = 9
- 63.10 deg, I = 23
- 65.59 deg, I = 9

Structural model:
Unit cell a=6.773 b=6.773 c=6.773 alpha=62.41 beta=62.41 gamma=62.41
Positions (direct):
Sc1 0.000 0.000 0.000
Sc2 0.008 0.008 0.429
Sc3 0.008 0.429 0.008
Sc4 0.008 0.491 0.491
Sc5 0.429 0.008 0.008
Sc6 0.483 0.483 0.483
Sc7 0.491 0.008 0.491
Sc8 0.491 0.491 0.008
H1 0.232 0.232 0.232
C1 0.238 0.238 0.736
C2 0.238 0.736 0.238
C3 0.622 0.622 0.622
C4 0.736 0.238 0.238
S1 0.846 0.846 0.846

***

(2)
For Tm3HCSe, the PBE geometry in Alexandria gives the calculated X-ray diffraction stick pattern in this record (copper Kα).
Intensities are scaled so that the largest is 100.

Principal peaks in the range 2θ = 10–90°, by angle:
- 28.64 deg, I = 66
- 29.23 deg, I = 64
- 30.64 deg, I = 78
- 33.79 deg, I = 81
- 34.10 deg, I = 52
- 34.30 deg, I = 59
- 34.47 deg, I = 100
- 34.77 deg, I = 76
- 35.88 deg, I = 36
- 50.09 deg, I = 39

Structural model:
Unit cell a=7.700 b=3.642 c=7.940 alpha=90.00 beta=102.85 gamma=90.00
Positions (direct):
Tm1 0.049 0.250 0.341
Tm2 0.268 0.250 0.967
Tm3 0.369 0.750 0.641
Tm4 0.631 0.250 0.359
Tm5 0.732 0.750 0.033
Tm6 0.951 0.750 0.659
H1 0.422 0.750 0.921
H2 0.578 0.250 0.079
C1 0.167 0.250 0.658
C2 0.833 0.750 0.342
Se1 0.327 0.750 0.275
Se2 0.673 0.250 0.725

***

(3)
For Th3TeHC, the PBE geometry in Alexandria gives the calculated X-ray diffraction stick pattern in this record (copper Kα).
Intensities are scaled so that the largest is 100.

Principal peaks in the range 2θ = 10–90°, by angle:
- 25.70 deg, I = 44
- 26.66 deg, I = 50
- 28.65 deg, I = 63
- 31.11 deg, I = 34
- 31.28 deg, I = 85
- 31.42 deg, I = 100
- 31.69 deg, I = 42
- 31.81 deg, I = 49
- 32.71 deg, I = 39
- 48.66 deg, I = 35

Structural model:
Unit cell a=8.554 b=3.889 c=8.788 alpha=90.00 beta=106.21 gamma=90.00
Positions (direct):
Th1 0.042 0.250 0.344
Th2 0.272 0.250 0.950
Th3 0.367 0.750 0.638
Th4 0.633 0.250 0.362
Th5 0.728 0.750 0.050
Th6 0.958 0.750 0.656
Te1 0.316 0.750 0.262
Te2 0.684 0.250 0.738
H1 0.432 0.750 0.915
H2 0.568 0.250 0.085
C1 0.162 0.250 0.651
C2 0.838 0.750 0.349

***

(4)
For C23He4, the PBE geometry in Alexandria gives the calculated X-ray diffraction stick pattern in this record (copper Kα).
Intensities are scaled so that the largest is 100.

Principal peaks in the range 2θ = 10–90°, by angle:
- 18.55 deg, I = 18
- 26.35 deg, I = 29
- 29.53 deg, I = 94
- 32.42 deg, I = 51
- 46.50 deg, I = 37
- 48.52 deg, I = 37
- 50.48 deg, I = 100
- 56.05 deg, I = 26
- 83.29 deg, I = 50
- 89.26 deg, I = 36

Structural model:
Unit cell a=6.765 b=6.765 c=6.765 alpha=90.00 beta=90.00 gamma=90.00
Positions (direct):
C1 0.000 0.120 0.305
C2 0.000 0.120 0.695
C3 0.000 0.250 0.500
C4 0.000 0.750 0.500
C5 0.000 0.880 0.305
C6 0.000 0.880 0.695
C7 0.120 0.305 0.000
C8 0.120 0.695 0.000
C9 0.185 0.185 0.185
C10 0.185 0.185 0.815
C11 0.185 0.815 0.185
C12 0.185 0.815 0.815
C13 0.195 0.380 0.500
C14 0.195 0.620 0.500
C15 0.250 0.500 0.000
C16 0.305 0.000 0.120
C17 0.305 0.000 0.880
C18 0.315 0.315 0.315
C19 0.315 0.315 0.685
C20 0.315 0.685 0.315
C21 0.315 0.685 0.685
C22 0.380 0.500 0.195
C23 0.380 0.500 0.805
C24 0.500 0.000 0.250
C25 0.500 0.000 0.750
C26 0.500 0.195 0.380
C27 0.500 0.195 0.620
C28 0.500 0.805 0.380
C29 0.500 0.805 0.620
C30 0.620 0.500 0.195
C31 0.620 0.500 0.805
C32 0.685 0.315 0.315
C33 0.685 0.315 0.685
C34 0.685 0.685 0.315
C35 0.685 0.685 0.685
C36 0.695 0.000 0.120
C37 0.695 0.000 0.880
C38 0.750 0.500 0.000
C39 0.805 0.380 0.500
C40 0.805 0.620 0.500
C41 0.815 0.185 0.185
C42 0.815 0.185 0.815
C43 0.815 0.815 0.185
C44 0.815 0.815 0.815
C45 0.880 0.305 0.000
C46 0.880 0.695 0.000
He1 0.000 0.000 0.000
He2 0.000 0.500 0.250
He3 0.000 0.500 0.750
He4 0.250 0.000 0.500
He5 0.500 0.250 0.000
He6 0.500 0.500 0.500
He7 0.500 0.750 0.000
He8 0.750 0.000 0.500